For CaW2O7, a cell relaxed with PBE+U gives the theoretical powder XRD pattern in this record (Cu Kα).
Neutral-atom scattering factors, no anomalous dispersion.

The 8 most intense peaks (10 to 90 degrees two-theta), low angle first:
Position (°2θ)	I_rel	h k l
16.87	38	0 1 1
19.71	100	1 1 -1
22.35	29	1 1 1
23.74	40	0 2 0
24.15	20	0 0 2
25.18	35	1 0 -2
27.92	25	2 1 0
31.73	22	2 0 -2

Crystal structure
Cell: 7.1833 7.4948 7.4962 Å, 90.00 100.47 90.00°
Fractional coordinates of all 20 atoms:
Ca: 0.1336 0.0000 0.0367
Ca: 0.8664 0.5000 0.9633
W: 0.2478 0.0994 0.5621
W: 0.3513 0.5078 0.0934
W: 0.6487 0.0078 0.9066
W: 0.7522 0.5994 0.4379
O: 0.1075 0.0332 0.7264
O: 0.1733 0.9907 0.3465
O: 0.1846 0.6842 0.0194
O: 0.2051 0.3121 0.0657
O: 0.2305 0.3312 0.5330
O: 0.4780 0.9935 0.0512
O: 0.4902 0.5426 0.3319
O: 0.5098 0.0426 0.6681
O: 0.5220 0.4935 0.9488
O: 0.7695 0.8312 0.4670
O: 0.7949 0.8121 0.9343
O: 0.8154 0.1842 0.9806
O: 0.8267 0.4907 0.6535
O: 0.8925 0.5332 0.2736